Theoretical powder XRD pattern of Zr6Al16Co7 for Cu Kα X-rays, from a crystal structure in the Materials Project, relaxed with GGA-PBE.
Lines closer than 0.1° are merged.

Atomic structure:
```
Zr6Al16Co7
1.0
0.0000 6.0206 6.0206
6.0206 0.0000 6.0206
6.0206 6.0206 0.0000
Zr Al Co
6 16 7
Cartesian
6.0206 6.0206 2.3509
6.0206 2.3509 6.0206
9.6903 6.0206 6.0206
2.3509 6.0206 6.0206
6.0206 9.6903 6.0206
6.0206 6.0206 9.6903
7.4477 4.5935 4.5935
1.9896 1.9896 1.9896
4.0310 4.0310 1.9896
4.0310 1.9896 4.0310
4.5935 4.5935 4.5935
7.4477 7.4477 4.5935
7.4477 4.5935 7.4477
10.0516 8.0102 8.0102
1.9896 4.0310 4.0310
4.5935 7.4477 4.5935
4.5935 4.5935 7.4477
7.4477 7.4477 7.4477
8.0102 10.0516 8.0102
8.0102 8.0102 10.0516
10.0516 10.0516 10.0516
4.5935 7.4477 7.4477
3.0103 3.0103 0.0000
3.0103 0.0000 3.0103
6.0206 3.0103 3.0103
0.0000 3.0103 3.0103
3.0103 6.0206 3.0103
3.0103 3.0103 6.0206
6.0206 6.0206 6.0206
```

The 10 most intense peaks (2θ = 5–70°), sorted by position:
- 29.68 deg, 3.010 Å, I 389
- 32.41 deg, 2.762 Å, I 337
- 36.56 deg, 2.458 Å, I 389
- 38.86 deg, 2.317 Å, I 849
- 42.47 deg, 2.129 Å, I 1000
- 45.18 deg, 2.007 Å, I 180
- 50.26 deg, 1.815 Å, I 102
- 58.91 deg, 1.568 Å, I 170
- 63.21 deg, 1.471 Å, I 115
- 65.81 deg, 1.419 Å, I 245